The following is a calculated X-ray diffraction stick pattern of La5Dy2Cd. It was derived from the GGA-PBE geometry in Alexandria, using Cu Kα (λ = 1.5418 Å).
Peak positions follow from Bragg's law for the DFT cell and can differ from measured ones.

Most intense lines, 2θ = 5–70°, by angle:
Position (°2θ)	d (Å)	I/Imax
28.13	3.172	25
31.13	2.873	24
32.24	2.777	100
42.45	2.130	16
49.71	1.834	6
49.84	1.830	13
56.09	1.640	19
59.82	1.546	7
59.94	1.543	14
60.52	1.530	11

Cell lengths 8.552, 7.318, 6.818 Å; angles 74.36, 55.50, 50.15 degrees
Atoms (fractional coordinates):
La 0.000 0.000 0.000
La 0.009 0.466 0.991
La 0.403 0.403 0.097
La 0.466 0.009 0.534
La 0.903 0.903 0.597
Dy 0.412 0.885 0.115
Dy 0.885 0.412 0.588
Cd 0.492 0.492 0.508